# 1
This entry pairs a crystal structure of DyMgSb with its simulated powder diffractogram. Radiation: Cu Ka. Structure: a structure optimized by DFT (GGA-PBE).

Crystal structure
Cell lengths 4.3482, 9.5043, 4.2834 Å; angles 90.00, 90.00, 90.00 degrees
Element x y z (fractional)
Dy: 0.0000 0.1713 0.0000
Dy: 0.5000 0.8287 0.5000
Mg: 0.0000 0.5486 0.9936
Mg: 0.5000 0.4514 0.4936
Sb: 0.0000 0.8462 0.0000
Sb: 0.5000 0.1538 0.5000

The 12 most intense peaks (2θ = 5–70°), sorted by position:
2θ (°)	intensity
9.31	100.0
18.67	18.4
28.17	49.1
29.27	98.0
30.77	26.3
34.94	15.6
41.07	71.1
41.54	18.9
42.20	18.1
50.94	19.6
51.51	18.3
68.26	24.2


# 2
This entry pairs a crystal structure of Dy8MgSc2 with its simulated powder diffractogram. Radiation: Cu Ka. Structure: a structure optimized by DFT (GGA-PBE).

Crystal structure
Cell lengths 5.2468, 8.1164, 8.1164 Å; angles 103.44, 90.00, 90.00 degrees
Element x y z (fractional)
Dy: 0.0000 0.0000 0.0000
Dy: 0.0000 0.3268 0.3268
Dy: 0.0000 0.4059 0.9216
Dy: 0.0000 0.9216 0.4059
Dy: 0.5000 0.3581 0.6356
Dy: 0.5000 0.6356 0.3581
Dy: 0.5000 0.6912 0.9684
Dy: 0.5000 0.9684 0.6912
Mg: 0.0000 0.6629 0.6629
Sc: 0.5000 0.0455 0.2813
Sc: 0.5000 0.2813 0.0455

The 12 most intense peaks (2θ = 5–70°), sorted by position:
2θ (°)	intensity
20.32	31.0
22.53	20.3
24.52	20.9
28.29	41.1
32.47	74.1
32.89	100.0
34.07	49.9
34.18	48.2
49.03	38.2
60.38	17.4
60.51	24.1
65.38	27.7